Record 1
Theoretical powder X-ray diffraction pattern of KMoN2 for Cu Kα (λ = 1.5418 Å), from a GGA-PBE-relaxed structure.
Peak positions follow from Bragg's law for the DFT cell and can differ from measured ones.

Structural model:
Unit cell a=6.045 b=12.726 c=7.953 alpha=90.00 beta=90.00 gamma=90.00
Space group Cmce (No. 64)
Asymmetric unit:
K1 0.000 0.173 0.076 [8 per cell]
Mo1 0.000 0.058 0.645 [8 per cell]
N1 0.000 0.094 0.410 [8 per cell]
N2 0.250 0.118 0.750 [8 per cell]

The 10 most intense peaks (10° ≤ 2θ ≤ 90°), in order of falling intensity:
Position (°2θ)	intensity
19.72	100
13.92	72
29.55	72
28.04	69
37.72	58
30.26	58
27.75	55
17.85	48
34.28	46
42.81	39



Record 2
Theoretical powder X-ray diffraction pattern of KPaMoN4 for Cu Kα (λ = 1.5418 Å), from a GGA-PBE-relaxed structure.
Peak positions follow from Bragg's law for the DFT cell and can differ from measured ones.

Structural model:
Unit cell a=6.104 b=5.959 c=7.766 alpha=90.00 beta=107.43 gamma=90.00
Space group P2_1/m (No. 11)
Asymmetric unit:
K1 0.178 0.250 0.424 [2 per cell]
Pa1 0.294 0.250 0.949 [2 per cell]
Mo1 0.240 0.750 0.159 [2 per cell]
N1 0.023 0.750 0.941 [2 per cell]
N2 0.024 0.750 0.288 [2 per cell]
N3 0.452 0.514 0.163 [4 per cell]

The 10 most intense peaks (10° ≤ 2θ ≤ 90°), in order of falling intensity:
Position (°2θ)	intensity
11.94	100
36.33	27
28.37	25
29.99	24
19.11	23
33.10	21
21.33	18
35.72	17
28.61	17
32.39	15



Record 3
Theoretical powder X-ray diffraction pattern of K2Pa2MoN6 for Cu Kα (λ = 1.5418 Å), from a GGA-PBE-relaxed structure.
Peak positions follow from Bragg's law for the DFT cell and can differ from measured ones.

Structural model:
Unit cell a=5.913 b=10.144 c=6.743 alpha=90.00 beta=104.43 gamma=90.00
Space group C2/m (No. 12)
Asymmetric unit:
K1 0.000 0.158 0.000 [4 per cell]
Pa1 0.000 0.334 0.500 [4 per cell]
Mo1 0.000 0.000 0.500 [2 per cell]
N1 0.199 0.158 0.657 [8 per cell]
N2 0.243 0.500 0.659 [4 per cell]

The 10 most intense peaks (10° ≤ 2θ ≤ 90°), in order of falling intensity:
Position (°2θ)	intensity
13.56	100
35.31	38
32.03	30
27.31	27
30.71	22
36.21	17
31.24	16
44.22	12
48.97	12
30.81	11



Record 4
Theoretical powder X-ray diffraction pattern of KPm2Mo2N6 for Cu Kα (λ = 1.5418 Å), from a GGA-PBE-relaxed structure.
Peak positions follow from Bragg's law for the DFT cell and can differ from measured ones.

Structural model:
Unit cell a=6.431 b=6.607 c=6.832 alpha=93.60 beta=117.03 gamma=115.90
Space group P-1 (No. 2)
Asymmetric unit:
K1 0.000 0.000 0.000 [1 per cell]
Pm1 0.368 0.674 0.291 [2 per cell]
Mo1 0.234 0.683 0.690 [2 per cell]
N1 0.133 0.673 0.907 [2 per cell]
N2 0.276 0.910 0.547 [2 per cell]
N3 0.460 0.582 0.696 [2 per cell]

The 10 most intense peaks (10° ≤ 2θ ≤ 90°), in order of falling intensity:
Position (°2θ)	intensity
29.89	100
16.70	85
27.10	67
31.05	64
30.44	49
15.77	45
25.78	43
32.47	37
48.61	29
41.24	28



Record 5
Theoretical powder X-ray diffraction pattern of KSm2Mo2N6 for Cu Kα (λ = 1.5418 Å), from a GGA-PBE-relaxed structure.
Peak positions follow from Bragg's law for the DFT cell and can differ from measured ones.

Structural model:
Unit cell a=6.429 b=6.571 c=6.820 alpha=93.34 beta=117.31 gamma=115.94
Space group P-1 (No. 2)
Asymmetric unit:
K1 0.000 0.000 0.000 [1 per cell]
Sm1 0.366 0.673 0.292 [2 per cell]
Mo1 0.235 0.683 0.691 [2 per cell]
N1 0.134 0.672 0.907 [2 per cell]
N2 0.278 0.912 0.547 [2 per cell]
N3 0.460 0.580 0.695 [2 per cell]

The 10 most intense peaks (10° ≤ 2θ ≤ 90°), in order of falling intensity:
Position (°2θ)	intensity
30.01	100
16.76	85
27.24	67
31.21	48
15.85	46
25.91	42
30.52	41
32.45	37
47.55	32
48.89	28